1.
Calculated powder XRD pattern of TbY2Al3Ge2Au for Cu Kα (λ = 1.5418 Å), from a PBE-relaxed structure.
Intensities are scaled so that the largest is 100.

Structure:
Cell lengths 4.276, 12.254, 7.072 Å; angles 90.00, 90.00, 90.00 degrees
Space group Amm2 (No. 38)
One atom of each set of equivalent atoms:
Tb 0.000 0.000 0.000 x2
Y 0.000 0.207 0.378 x4
Al 0.500 0.000 0.348 x2
Al 0.500 0.119 0.704 x4
Ge 0.500 0.167 0.086 x4
Au 0.000 0.000 0.585 x2

Peak list (10 most intense, 2θ from 10° to 90°, sorted by position)
| index | 2θ/deg | I (rel.) |
| --- | --- | --- |
| 1 0 0 | 20.8 | 22.1 |
| 0 0 2 | 25.2 | 29.1 |
| 1 2 0 | 25.4 | 26.3 |
| 0 4 0 | 29.2 | 32.9 |
| 1 0 2 | 32.9 | 36.0 |
| 1 4 0 | 36.1 | 100.0 |
| 2 0 0 | 42.3 | 23.0 |
| 0 6 0 | 44.4 | 24.4 |
| 1 4 2 | 44.5 | 34.0 |
| 1 1 5 | 70.5 | 22.3 |

2.
Calculated powder XRD pattern of Tm3Al3GeAu2 for Cu Kα (λ = 1.5418 Å), from a PBE-relaxed structure.
Intensities are scaled so that the largest is 100.

Structure:
Cell lengths 7.3829, 7.3829, 3.9188 Å; angles 90.00, 90.00, 120.00 degrees
Space group P-62m (No. 189)
One atom of each set of equivalent atoms:
Tm 0.0000 0.3953 0.0000 x3
Al 0.0000 0.7421 0.5000 x3
Ge 0.0000 0.0000 0.0000 x1
Au 0.3333 0.6667 0.5000 x2

Peak list (10 most intense, 2θ from 10° to 90°, sorted by position)
| index | 2θ/deg | I (rel.) |
| --- | --- | --- |
| 1 0 0 | 13.9 | 32.4 |
| 1 1 0 | 24.1 | 36.3 |
| 1 1 1 | 33.3 | 100.0 |
| 2 0 1 | 36.3 | 54.9 |
| 3 0 0 | 42.4 | 38.0 |
| 2 1 1 | 44.0 | 21.3 |
| 0 0 2 | 46.3 | 16.8 |
| 3 0 2 | 64.6 | 22.0 |
| 3 2 1 | 68.3 | 19.1 |
| 3 1 2 | 71.8 | 21.3 |

3.
Calculated powder XRD pattern of AlH6PtAu for Cu Kα (λ = 1.5418 Å), from a PBE-relaxed structure.
Intensities are scaled so that the largest is 100.

Structure:
Cell lengths 7.064, 7.064, 7.064 Å; angles 90.00, 90.00, 90.00 degrees
Space group F-43m (No. 216)
One atom of each set of equivalent atoms:
Al 0.000 0.000 0.000 x4
H 0.010 0.250 0.250 x24
Pt 0.250 0.250 0.250 x4
Au 0.000 0.000 0.500 x4

Peak list (10 most intense, 2θ from 10° to 90°, sorted by position)
| index | 2θ/deg | I (rel.) |
| --- | --- | --- |
| 1 1 1 | 21.8 | 89.5 |
| 2 2 0 | 36.0 | 100.0 |
| 3 1 1 | 42.4 | 49.0 |
| 4 0 0 | 51.8 | 18.6 |
| 3 3 1 | 56.8 | 21.0 |
| 4 2 2 | 64.6 | 37.2 |
| 5 1 1 | 69.1 | 15.8 |
| 4 4 0 | 76.2 | 11.9 |
| 5 3 1 | 80.4 | 15.9 |
| 6 2 0 | 87.3 | 17.3 |